(1)
For La3NdInIr, a crystal structure in Alexandria, relaxed with GGA-PBE gives the calculated powder X-ray diffraction pattern in this record (a wavelength of 1.5418 Å).

Top 8 peaks for 15° ≤ 2θ ≤ 90°, by intensity:
d [Å]  2θ (°)  I (rel.)  h k l
2.767  32.4  1000  4 0 1
2.762  32.4  475  4 2 -1
2.291  39.3  453  0 2 2
3.055  29.2  250  2 0 -2
1.508  61.5  216  10 2 -2
2.740  32.7  185  4 2 0
2.491  36.1  172  1 1 2
1.510  61.4  166  6 2 2

Cell and atoms:
Lattice parameters (Å, degrees): 16.6830 7.7329 6.1110 90.00 111.37 90.00
Space group C2/m (No. 12)
Asymmetric unit:
La (0.1215, 0.2496, 0.1204) (multiplicity 8)
La (0.1799, 0.0000, 0.6779) (multiplicity 4)
Nd (0.0000, 0.3041, 0.5000) (multiplicity 4)
In (0.1941, 0.5000, 0.6945) (multiplicity 4)
Ir (0.9999, 0.0000, 0.2381) (multiplicity 4)



(2)
For LiZn11Ni, a crystal structure in Alexandria, relaxed with GGA-PBE gives the calculated powder X-ray diffraction pattern in this record (a wavelength of 1.5418 Å).

Top 8 peaks for 15° ≤ 2θ ≤ 90°, by intensity:
d [Å]  2θ (°)  I (rel.)  h k l
2.195  41.1  1000  0 4 2
1.977  45.9  888  2 4 -1
4.390  20.2  590  0 2 1
2.210  40.8  372  1 1 2
1.992  45.5  364  2 0 1
1.950  46.6  358  2 0 -3
1.970  46.1  347  0 6 1
2.558  35.1  314  2 0 -1

Cell and atoms:
Lattice parameters (Å, degrees): 5.1158 12.4699 6.6410 90.00 111.39 90.00
Space group C2/m (No. 12)
Asymmetric unit:
Li (0.0000, 0.0000, 0.0000) (multiplicity 2)
Zn (0.0000, 0.5000, 0.5000) (multiplicity 2)
Zn (0.1206, 0.3945, 0.2164) (multiplicity 8)
Zn (0.1582, 0.1692, 0.3523) (multiplicity 8)
Zn (0.2500, 0.2500, 0.0000) (multiplicity 4)
Ni (0.0000, 0.0000, 0.5000) (multiplicity 2)



(3)
For NdHo2S4, a crystal structure in Alexandria, relaxed with GGA-PBE gives the calculated powder X-ray diffraction pattern in this record (a wavelength of 1.5418 Å).

Top 8 peaks for 15° ≤ 2θ ≤ 90°, by intensity:
d [Å]  2θ (°)  I (rel.)  h k l
3.636  24.5  1000  0 2 3
3.229  27.6  530  0 4 0
2.635  34.0  505  1 3 2
2.809  31.9  366  1 3 1
2.148  42.1  321  1 1 5
3.560  25.0  274  1 1 1
1.929  47.1  263  2 0 0
1.935  47.0  262  0 6 3

Cell and atoms:
Lattice parameters (Å, degrees): 3.8582 12.9295 13.1910 90.00 90.00 90.00
Space group Cmcm (No. 63)
Asymmetric unit:
Nd (0.0000, 0.1242, 0.2500) (multiplicity 4)
Ho (0.0000, 0.3701, 0.0682) (multiplicity 8)
S (0.0000, 0.0000, 0.0000) (multiplicity 4)
S (0.0000, 0.2729, 0.6190) (multiplicity 8)
S (0.0000, 0.4619, 0.2500) (multiplicity 4)



Copy entry 2 word for word.
For LiZn11Ni, a crystal structure in Alexandria, relaxed with GGA-PBE gives the calculated powder X-ray diffraction pattern in this record (a wavelength of 1.5418 Å).

Top 8 peaks for 15° ≤ 2θ ≤ 90°, by intensity:
d [Å]  2θ (°)  I (rel.)  h k l
2.195  41.1  1000  0 4 2
1.977  45.9  888  2 4 -1
4.390  20.2  590  0 2 1
2.210  40.8  372  1 1 2
1.992  45.5  364  2 0 1
1.950  46.6  358  2 0 -3
1.970  46.1  347  0 6 1
2.558  35.1  314  2 0 -1

Cell and atoms:
Lattice parameters (Å, degrees): 5.1158 12.4699 6.6410 90.00 111.39 90.00
Space group C2/m (No. 12)
Asymmetric unit:
Li (0.0000, 0.0000, 0.0000) (multiplicity 2)
Zn (0.0000, 0.5000, 0.5000) (multiplicity 2)
Zn (0.1206, 0.3945, 0.2164) (multiplicity 8)
Zn (0.1582, 0.1692, 0.3523) (multiplicity 8)
Zn (0.2500, 0.2500, 0.0000) (multiplicity 4)
Ni (0.0000, 0.0000, 0.5000) (multiplicity 2)



Which formula does entry 3 have? NdHo2S4